For Ac7AlSn3, a DFT-relaxed cell (PBE, Alexandria) gives the theoretical XRD peak list in this record (a wavelength of 1.5418 Å).
Lines closer than 0.1° are merged.

Structural model:
```
Ac7AlSn3
1.0
6.036 -6.294 0.000
6.036 6.294 0.000
-3.310 0.000 5.396
Ac Al Sn
7 1 3
direct
0.000 0.000 0.000
0.100 0.568 0.334
0.326 0.326 0.827
0.432 0.900 0.666
0.568 0.100 0.334
0.674 0.674 0.173
0.900 0.432 0.666
0.000 0.000 0.500
0.266 0.734 0.000
0.500 0.500 0.500
0.734 0.266 0.000
```

Largest 10 diffraction maxima, by intensity, 10 to 90 degrees two-theta:
2θ (°)  I_rel
32.93  100
28.20  64
28.36  58
40.42  46
30.92  32
21.70  29
23.37  27
61.57  21
53.18  21
69.07  20